1.
Starting from the PBE+U geometry in the Materials Project, the X-ray powder pattern of LiCr2P3O12 was calculated for λ = 1.5418 Å (Cu Kα).
Peak positions follow from Bragg's law for the DFT cell and can differ from measured ones.

```
data_LiCr2P3O12
_space_group_name_H-M_alt 'C 1 2/m 1'
_space_group_IT_number 12
_space_group_name_Hall '-C 2y'
_cell_length_a 7.980
_cell_length_b 5.238
_cell_length_c 19.133
_cell_angle_alpha 90.00
_cell_angle_beta 90.85
_cell_angle_gamma 90.00
loop_
_atom_site_label
_atom_site_type_symbol
_atom_site_fract_x
_atom_site_fract_y
_atom_site_fract_z
_atom_site_occupancy
Li1 Li 0.000 0.000 0.165 1
Cr1 Cr 0.000 0.000 0.000 1
Cr2 Cr 0.000 0.000 0.500 1
Cr3 Cr 0.005 0.000 0.667 1
P1 P 0.147 0.500 0.079 1
P2 P 0.150 0.500 0.745 1
P3 P 0.151 0.500 0.417 1
O1 O 0.034 0.256 0.417 1
O2 O 0.034 0.259 0.074 1
O3 O 0.037 0.260 0.740 1
O4 O 0.233 0.000 0.320 1
O5 O 0.234 0.000 0.985 1
O6 O 0.240 0.500 0.150 1
O7 O 0.242 0.500 0.816 1
O8 O 0.244 0.000 0.515 1
O9 O 0.246 0.000 0.649 1
```

Main lines, sorted by position (10° ≤ 2θ ≤ 90°):
2θ = 13.89°, d = 6.377 Å, intensity 35, (0 0 3); 2θ = 24.76°, d = 3.596 Å, intensity 100, (1 1 3); 2θ = 26.17°, d = 3.405 Å, intensity 63, (2 0 -3); 2θ = 34.24°, d = 2.619 Å, intensity 35, (0 2 0); 2θ = 34.67°, d = 2.588 Å, intensity 45, (1 1 -6); 2θ = 34.95°, d = 2.568 Å, intensity 50, (1 1 6); 2θ = 37.94°, d = 2.371 Å, intensity 43, (3 1 0); 2θ = 44.78°, d = 2.024 Å, intensity 27, (0 2 6)

=====

2.
Starting from the PBE+U geometry in the Materials Project, the X-ray powder pattern of MgV4O8F4 was calculated for λ = 1.5418 Å (Cu Kα).
Peak positions follow from Bragg's law for the DFT cell and can differ from measured ones.

```
data_MgV4O8F4
_space_group_name_H-M_alt 'P 1 m 1'
_space_group_IT_number 6
_space_group_name_Hall 'P -2y'
_cell_length_a 4.898
_cell_length_b 3.606
_cell_length_c 13.820
_cell_angle_alpha 90.00
_cell_angle_beta 91.05
_cell_angle_gamma 90.00
loop_
_atom_site_label
_atom_site_type_symbol
_atom_site_fract_x
_atom_site_fract_y
_atom_site_fract_z
_atom_site_occupancy
Mg1 Mg 0.000 0.000 0.000 1
V1 V 0.224 0.000 0.740 1
V2 V 0.447 0.500 0.907 1
V3 V 0.723 0.500 0.416 1
V4 V 0.927 0.000 0.254 1
O1 O 0.253 0.000 0.239 1
O2 O 0.300 0.000 0.896 1
O3 O 0.345 0.500 0.772 1
O4 O 0.396 0.500 0.421 1
O5 O 0.784 0.500 0.939 1
O6 O 0.809 0.500 0.273 1
O7 O 0.832 0.000 0.393 1
O8 O 0.894 0.000 0.748 1
F1 F 0.238 0.500 0.028 1
F2 F 0.328 0.000 0.618 1
F3 F 0.806 0.000 0.117 1
F4 F 0.843 0.500 0.538 1
```

Main lines, sorted by position (10° ≤ 2θ ≤ 90°):
2θ = 12.81°, d = 6.909 Å, intensity 74, (0 0 2); 2θ = 19.12°, d = 4.643 Å, intensity 51, (1 0 -1); 2θ = 19.34°, d = 4.590 Å, intensity 100, (1 0 1); 2θ = 27.91°, d = 3.197 Å, intensity 89, (0 1 2); 2θ = 30.79°, d = 2.904 Å, intensity 43, (1 1 0); 2θ = 31.42°, d = 2.847 Å, intensity 33, (1 0 -4); 2θ = 39.11°, d = 2.303 Å, intensity 28, (0 0 6); 2θ = 50.63°, d = 1.803 Å, intensity 31, (0 2 0)

=====

3.
Starting from the PBE+U geometry in the Materials Project, the X-ray powder pattern of Co2OF3 was calculated for λ = 1.5418 Å (Cu Kα).
Peak positions follow from Bragg's law for the DFT cell and can differ from measured ones.

```
data_Co2OF3
_space_group_name_H-M_alt 'C 1 2/m 1'
_space_group_IT_number 12
_space_group_name_Hall '-C 2y'
_cell_length_a 9.326
_cell_length_b 6.255
_cell_length_c 10.155
_cell_angle_alpha 90.00
_cell_angle_beta 113.77
_cell_angle_gamma 90.00
loop_
_atom_site_label
_atom_site_type_symbol
_atom_site_fract_x
_atom_site_fract_y
_atom_site_fract_z
_atom_site_occupancy
Co1 Co 0.000 0.000 0.000 1
Co2 Co 0.000 0.500 0.000 1
Co3 Co 0.125 0.242 0.754 1
Co4 Co 0.240 0.500 0.518 1
O1 O 0.074 0.000 0.852 1
O2 O 0.169 0.500 0.655 1
F1 F 0.074 0.500 0.848 1
F2 F 0.105 0.247 0.403 1
F3 F 0.147 0.249 0.100 1
F4 F 0.181 0.000 0.642 1
```

Main lines, sorted by position (10° ≤ 2θ ≤ 90°):
2θ = 26.26°, d = 3.394 Å, intensity 91, (2 0 1); 2θ = 27.95°, d = 3.192 Å, intensity 78, (2 0 -3); 2θ = 34.56°, d = 2.595 Å, intensity 100, (0 2 2); 2θ = 51.89°, d = 1.762 Å, intensity 62, (4 2 0); 2θ = 53.83°, d = 1.703 Å, intensity 44, (2 2 -5); 2θ = 59.08°, d = 1.564 Å, intensity 18, (0 4 0); 2θ = 67.38°, d = 1.390 Å, intensity 18, (6 2 -3); 2θ = 67.48°, d = 1.388 Å, intensity 18, (0 2 6)